This entry pairs a crystal structure of Rb2TcAgS4 with its computed powder X-ray diffraction pattern. Radiation: copper Kα. Structure: a cell relaxed with PBE.

The 10 most intense peaks (2θ from 10° to 90°), by intensity:
- 27.2 deg, intensity 100
- 43.9 deg, intensity 54
- 23.7 deg, intensity 46
- 33.8 deg, intensity 29
- 50.0 deg, intensity 23
- 54.7 deg, intensity 17
- 67.4 deg, intensity 14
- 15.9 deg, intensity 13
- 56.0 deg, intensity 12
- 56.5 deg, intensity 11

Atomic structure:
Unit cell a=6.7550 b=6.7550 c=6.7550 alpha=112.48 beta=112.48 gamma=103.60
Atoms (fractional coordinates):
Rb: 0.0000 0.0000 0.0000
Rb: 0.7500 0.2500 0.5000
Tc: 0.5000 0.5000 0.0000
Ag: 0.2500 0.7500 0.5000
S: 0.2214 0.5661 0.0760
S: 0.4339 0.5098 0.6553
S: 0.4902 0.1454 0.9240
S: 0.8546 0.7786 0.3447